Diffraction record for Pr5TmMg5. The X-ray powder pattern is calculated, not measured: it uses a DFT-relaxed cell (PBE, Alexandria) and copper Kα.

Crystal structure
Lattice parameters (Å, degrees): 9.6348 9.6348 6.8126 110.66 110.66 35.84
Element x y z (fractional)
Pr 0.0000 0.0000 0.0000
Pr 0.3144 0.3144 0.3137
Pr 0.3661 0.3661 0.8654
Pr 0.6339 0.6339 0.1346
Pr 0.6856 0.6856 0.6863
Tm 0.0000 0.0000 0.5000
Mg 0.1659 0.1659 0.4351
Mg 0.1656 0.1656 0.8966
Mg 0.5000 0.5000 0.5000
Mg 0.8344 0.8344 0.1034
Mg 0.8341 0.8341 0.5649

The 10 most intense peaks (2θ from 5° to 70°), most intense first:
2theta  I_rel
34.22  1000
21.68  932
30.15  457
26.16  416
40.33  270
56.20  240
31.52  224
29.32  196
44.18  176
42.55  155